[1]
The following is a simulated powder X-ray diffraction pattern of Ca3Ru5. It was derived from a crystal structure in Alexandria, relaxed with PBE, using Cu Kα (weighted mean of Kα1 and Kα2).

Largest 8 diffraction maxima, most intense first, 15 to 90 degrees two-theta:
two_theta	d/Å	I_rel
38.4	2.344	100
39.0	2.310	27
39.2	2.296	27
56.5	1.628	18
16.3	5.453	17
70.6	1.335	16
70.2	1.340	15
27.4	3.257	12

Crystal structure
a = 6.755 Å, b = 9.239 Å, c = 4.592 Å
α = 90.00°, β = 90.00°, γ = 90.00°
Space group Cmmm (No. 65)
One atom of each set of equivalent atoms:
Ca 0.000 0.000 0.000 x2
Ca 0.000 0.235 0.500 x4
Ru 0.000 0.500 0.000 x2
Ru 0.198 0.500 0.500 x4
Ru 0.250 0.250 0.000 x4

---

[2]
The following is a simulated powder X-ray diffraction pattern of TbGe3Pd5. It was derived from a crystal structure in Alexandria, relaxed with PBE, using Cu Kα (weighted mean of Kα1 and Kα2).

Largest 8 diffraction maxima, most intense first, 15 to 90 degrees two-theta:
two_theta	d/Å	I_rel
43.9	2.063	100
37.0	2.429	80
32.0	2.794	65
34.0	2.634	52
47.9	1.898	46
31.8	2.812	35
41.5	2.178	34
31.1	2.880	26

Crystal structure
a = 3.796 Å, b = 13.261 Å, c = 13.029 Å
α = 90.00°, β = 90.00°, γ = 90.00°
Space group Cmcm (No. 63)
One atom of each set of equivalent atoms:
Tb 0.000 0.121 0.250 x4
Ge 0.000 0.126 0.750 x4
Ge 0.000 0.379 0.542 x8
Pd 0.000 0.000 0.000 x4
Pd 0.000 0.202 0.574 x8
Pd 0.000 0.455 0.147 x8

---

[3]
The following is a simulated powder X-ray diffraction pattern of Te7O6F30. It was derived from a crystal structure in Alexandria, relaxed with PBE, using Cu Kα (weighted mean of Kα1 and Kα2).

Largest 8 diffraction maxima, most intense first, 15 to 90 degrees two-theta:
two_theta	d/Å	I_rel
21.5	4.134	100
27.1	3.291	29
18.8	4.709	23
38.9	2.313	21
34.6	2.593	19
51.9	1.762	15
19.3	4.601	12
49.1	1.855	10

Crystal structure
a = 9.198 Å, b = 9.202 Å, c = 10.807 Å
α = 64.83°, β = 89.96°, γ = 60.03°
Space group P-1 (No. 2)
One atom of each set of equivalent atoms:
Te 0.000 0.000 0.000 x1
Te 0.078 0.151 0.239 x2
Te 0.228 0.161 0.761 x2
Te 0.389 0.533 0.239 x2
O 0.051 0.875 0.884 x2
O 0.074 0.167 0.883 x2
O 0.241 0.810 0.116 x2
F 0.054 0.583 0.881 x2
F 0.088 0.429 0.662 x2
F 0.093 0.820 0.663 x2
F 0.096 0.154 0.635 x2
F 0.192 0.182 0.359 x2
F 0.211 0.886 0.365 x2
F 0.250 0.124 0.142 x2
F 0.250 0.540 0.365 x2
F 0.265 0.485 0.142 x2
F 0.362 0.173 0.881 x2
F 0.373 0.892 0.858 x2
F 0.374 0.167 0.641 x2
F 0.461 0.731 0.640 x2
F 0.465 0.481 0.881 x2
F 0.483 0.424 0.662 x2

---

[4]
The following is a simulated powder X-ray diffraction pattern of Nd3Er2Hg6. It was derived from a crystal structure in Alexandria, relaxed with PBE, using Cu Kα (weighted mean of Kα1 and Kα2).

Largest 8 diffraction maxima, most intense first, 15 to 90 degrees two-theta:
two_theta	d/Å	I_rel
34.8	2.576	100
36.4	2.465	93
25.3	3.514	68
50.1	1.821	43
63.5	1.465	38
19.9	4.465	25
31.7	2.822	24
29.1	3.072	19

Crystal structure
a = 5.151 Å, b = 5.151 Å, c = 26.796 Å
α = 90.00°, β = 90.00°, γ = 90.00°
Space group I4/mmm (No. 139)
One atom of each set of equivalent atoms:
Nd 0.000 0.000 0.000 x2
Nd 0.000 0.000 0.150 x4
Er 0.000 0.000 0.380 x4
Hg 0.000 0.000 0.268 x4
Hg 0.000 0.500 0.067 x8

---

[5]
The following is a simulated powder X-ray diffraction pattern of YPu2NpAs4. It was derived from a crystal structure in Alexandria, relaxed with PBE, using Cu Kα (weighted mean of Kα1 and Kα2).

Largest 8 diffraction maxima, most intense first, 15 to 90 degrees two-theta:
two_theta	d/Å	I_rel
30.7	2.913	100
44.0	2.060	75
26.5	3.364	36
72.6	1.303	35
54.6	1.682	27
80.8	1.189	26
52.1	1.757	18
63.9	1.456	13

Crystal structure
a = 7.134 Å, b = 4.120 Å, c = 7.135 Å
α = 90.00°, β = 109.45°, γ = 90.00°
Space group P2/m (No. 10)
One atom of each set of equivalent atoms:
Y 0.000 0.000 0.000 x1
Pu 0.000 0.500 0.500 x1
Pu 0.500 0.000 0.500 x1
Np 0.500 0.500 0.000 x1
As 0.251 0.000 0.752 x2
As 0.253 0.500 0.249 x2

---

[6]
The following is a simulated powder X-ray diffraction pattern of Pm6Sn2Os. It was derived from a crystal structure in Alexandria, relaxed with PBE, using Cu Kα (weighted mean of Kα1 and Kα2).

Largest 8 diffraction maxima, most intense first, 15 to 90 degrees two-theta:
two_theta	d/Å	I_rel
32.1	2.792	100
29.5	3.028	88
32.8	2.727	53
38.8	2.319	51
37.4	2.405	36
59.7	1.550	36
40.9	2.205	30
53.4	1.715	27

Crystal structure
a = 4.410 Å, b = 14.425 Å, c = 8.333 Å
α = 90.00°, β = 90.00°, γ = 90.00°
Space group Amm2 (No. 38)
One atom of each set of equivalent atoms:
Pm 0.000 0.000 0.000 x2
Pm 0.000 0.119 0.641 x4
Pm 0.500 0.000 0.357 x2
Pm 0.500 0.202 0.962 x4
Sn 0.000 0.167 0.261 x4
Os 0.500 0.000 0.762 x2